Entry 1:
Diffraction record for Nd3Zn11. The X-ray powder pattern is computed, not measured: it uses a PBE-relaxed structure and copper Kα.
Neutral-atom scattering factors, no anomalous dispersion.

Structural model:
a b c (Å): 4.4584 9.0714 13.1337
angles (deg): 90.00 90.00 90.00
Space group Immm (No. 71)
Inequivalent atoms, fractional coordinates:
1 Nd 0.0000 0.0000 0.0000
2 Nd 0.0000 0.0000 0.3014
3 Zn 0.0000 0.1984 0.5000
4 Zn 0.0000 0.2779 0.1380
5 Zn 0.0000 0.3624 0.3380
6 Zn 0.0000 0.5000 0.0000

Largest 8 diffraction maxima, sorted by position, 15° ≤ 2θ ≤ 90°:
hkl 0 2 4, 2.660 Å, 2θ = 33.70°, I 207
hkl 1 2 3, 2.573 Å, 2θ = 34.87°, I 1000
hkl 1 1 4, 2.538 Å, 2θ = 35.36°, I 215
hkl 1 3 0, 2.503 Å, 2θ = 35.88°, I 324
hkl 0 3 3, 2.488 Å, 2θ = 36.10°, I 241
hkl 1 3 2, 2.338 Å, 2θ = 38.50°, I 224
hkl 2 0 0, 2.229 Å, 2θ = 40.46°, I 433
hkl 0 0 6, 2.189 Å, 2θ = 41.24°, I 213

Entry 2:
Diffraction record for Nd3Zn. The X-ray powder pattern is computed, not measured: it uses a PBE-relaxed structure and copper Kα.
Neutral-atom scattering factors, no anomalous dispersion.

Structural model:
a b c (Å): 7.1112 7.1112 5.3905
angles (deg): 90.00 90.00 120.00
Space group P6_3/mmc (No. 194)
Inequivalent atoms, fractional coordinates:
1 Nd 0.1765 0.3529 0.2500
2 Zn 0.3333 0.6667 0.7500

Largest 8 diffraction maxima, sorted by position, 15° ≤ 2θ ≤ 90°:
hkl 2 0 0, 3.079 Å, 2θ = 29.00°, I 245
hkl 0 0 2, 2.695 Å, 2θ = 33.24°, I 233
hkl 2 0 1, 2.674 Å, 2θ = 33.52°, I 1000
hkl 2 0 2, 2.028 Å, 2θ = 44.68°, I 150
hkl 2 2 0, 1.778 Å, 2θ = 51.40°, I 188
hkl 2 0 3, 1.552 Å, 2θ = 59.57°, I 189
hkl 2 2 2, 1.484 Å, 2θ = 62.59°, I 206
hkl 4 0 1, 1.480 Å, 2θ = 62.76°, I 150

Entry 3:
Diffraction record for Nd3Zn. The X-ray powder pattern is computed, not measured: it uses a PBE-relaxed structure and copper Kα.
Neutral-atom scattering factors, no anomalous dispersion.

Structural model:
a b c (Å): 4.8138 4.8138 10.0194
angles (deg): 90.00 90.00 90.00
Space group I4/mmm (No. 139)
Inequivalent atoms, fractional coordinates:
1 Nd 0.0000 0.0000 0.0000
2 Nd 0.0000 0.5000 0.2500
3 Zn 0.0000 0.0000 0.5000

Largest 8 diffraction maxima, sorted by position, 15° ≤ 2θ ≤ 90°:
hkl 1 1 2, 2.815 Å, 2θ = 31.78°, I 1000
hkl 0 0 4, 2.505 Å, 2θ = 35.85°, I 181
hkl 2 0 0, 2.407 Å, 2θ = 37.36°, I 323
hkl 2 0 4, 1.736 Å, 2θ = 52.74°, I 238
hkl 1 1 6, 1.499 Å, 2θ = 61.89°, I 146
hkl 3 1 2, 1.456 Å, 2θ = 63.92°, I 265
hkl 2 2 4, 1.408 Å, 2θ = 66.41°, I 118
hkl 3 1 6, 1.125 Å, 2θ = 86.51°, I 116

Entry 4:
Diffraction record for NdZn2. The X-ray powder pattern is computed, not measured: it uses a PBE-relaxed structure and copper Kα.
Neutral-atom scattering factors, no anomalous dispersion.

Structural model:
a b c (Å): 4.6079 7.4599 7.5618
angles (deg): 90.00 90.00 90.00
Space group Imma (No. 74)
Inequivalent atoms, fractional coordinates:
1 Nd 0.0000 0.2500 0.0389
2 Zn 0.0000 0.0550 0.6654

Largest 8 diffraction maxima, sorted by position, 15° ≤ 2θ ≤ 90°:
hkl 1 1 2, 2.721 Å, 2θ = 32.91°, I 321
hkl 1 2 1, 2.707 Å, 2θ = 33.09°, I 1000
hkl 0 2 2, 2.655 Å, 2θ = 33.76°, I 405
hkl 0 3 1, 2.362 Å, 2θ = 38.10°, I 177
hkl 2 0 0, 2.304 Å, 2θ = 39.10°, I 341
hkl 1 0 3, 2.211 Å, 2θ = 40.81°, I 457
hkl 2 2 2, 1.740 Å, 2θ = 52.59°, I 227
hkl 1 3 4, 1.431 Å, 2θ = 65.22°, I 177

Entry 5:
Diffraction record for Nd2Zn17. The X-ray powder pattern is computed, not measured: it uses a PBE-relaxed structure and copper Kα.
Neutral-atom scattering factors, no anomalous dispersion.

Structural model:
a b c (Å): 9.0818 9.0818 8.7530
angles (deg): 90.00 90.00 120.00
Space group P6_3/mmc (No. 194)
Inequivalent atoms, fractional coordinates:
1 Nd 0.0000 0.0000 0.2500
2 Nd 0.3333 0.6667 0.2500
3 Zn 0.0000 0.5000 0.0000
4 Zn 0.0374 0.3668 0.7500
5 Zn 0.1618 0.3236 0.0174
6 Zn 0.3333 0.6667 0.5991

Largest 8 diffraction maxima, sorted by position, 15° ≤ 2θ ≤ 90°:
hkl 1 1 2, 3.151 Å, 2θ = 28.32°, I 235
hkl 3 0 0, 2.622 Å, 2θ = 34.20°, I 391
hkl 2 0 3, 2.343 Å, 2θ = 38.42°, I 337
hkl 2 2 0, 2.270 Å, 2θ = 39.70°, I 598
hkl 3 0 2, 2.249 Å, 2θ = 40.09°, I 1000
hkl 0 0 4, 2.188 Å, 2θ = 41.26°, I 331
hkl 2 2 2, 2.015 Å, 2θ = 44.98°, I 339
hkl 3 0 6, 1.275 Å, 2θ = 74.42°, I 204

Entry 6:
Diffraction record for Nd3Zn22. The X-ray powder pattern is computed, not measured: it uses a PBE-relaxed structure and copper Kα.
Neutral-atom scattering factors, no anomalous dispersion.

Structural model:
a b c (Å): 8.9112 8.9112 21.1992
angles (deg): 90.00 90.00 90.00
Space group I4_1/amd (No. 141, origin choice 2)
Inequivalent atoms, fractional coordinates:
1 Nd 0.0000 0.2500 0.2551
2 Nd 0.0000 0.2500 0.8750
3 Zn 0.0000 0.0000 0.0000
4 Zn 0.0000 0.0260 0.3767
5 Zn 0.0000 0.0996 0.7375
6 Zn 0.0000 0.1031 0.1179
7 Zn 0.2318 0.0074 0.1889

Largest 8 diffraction maxima, sorted by position, 15° ≤ 2θ ≤ 90°:
hkl 2 1 5, 2.904 Å, 2θ = 30.79°, I 235
hkl 3 0 5, 2.433 Å, 2θ = 36.95°, I 330
hkl 3 2 3, 2.333 Å, 2θ = 38.59°, I 937
hkl 2 0 8, 2.278 Å, 2θ = 39.57°, I 1000
hkl 4 0 0, 2.228 Å, 2θ = 40.49°, I 687
hkl 3 2 5, 2.135 Å, 2θ = 42.33°, I 335
hkl 2 2 8, 2.028 Å, 2θ = 44.69°, I 241
hkl 6 0 8, 1.296 Å, 2θ = 73.03°, I 226

Entry 7:
Diffraction record for NdZn5. The X-ray powder pattern is computed, not measured: it uses a PBE-relaxed structure and copper Kα.
Neutral-atom scattering factors, no anomalous dispersion.

Structural model:
a b c (Å): 5.3951 5.3951 4.2668
angles (deg): 90.00 90.00 120.00
Space group P6/mmm (No. 191)
Inequivalent atoms, fractional coordinates:
1 Nd 0.0000 0.0000 0.0000
2 Zn 0.0000 0.5000 0.5000
3 Zn 0.3333 0.6667 0.0000

Largest 8 diffraction maxima, sorted by position, 15° ≤ 2θ ≤ 90°:
hkl 1 0 1, 3.151 Å, 2θ = 28.33°, I 395
hkl 1 1 0, 2.698 Å, 2θ = 33.21°, I 292
hkl 2 0 0, 2.336 Å, 2θ = 38.54°, I 344
hkl 1 1 1, 2.280 Å, 2θ = 39.52°, I 1000
hkl 0 0 2, 2.133 Å, 2θ = 42.37°, I 267
hkl 2 0 2, 1.575 Å, 2θ = 58.60°, I 197
hkl 3 0 1, 1.463 Å, 2θ = 63.60°, I 235
hkl 2 2 2, 1.140 Å, 2θ = 85.10°, I 197

Entry 8:
Diffraction record for Nd2Zn17. The X-ray powder pattern is computed, not measured: it uses a PBE-relaxed structure and copper Kα.
Neutral-atom scattering factors, no anomalous dispersion.

Structural model:
a b c (Å): 9.0577 9.0577 13.3109
angles (deg): 90.00 90.00 120.00
Space group R-3m (No. 166, hexagonal axes)
Inequivalent atoms, fractional coordinates:
1 Nd 0.0000 0.0000 0.1644
2 Zn 0.0000 0.0000 0.4012
3 Zn 0.0000 0.2932 0.5000
4 Zn 0.0000 0.5000 0.0000
5 Zn 0.0075 0.5037 0.6537

Largest 8 diffraction maxima, sorted by position, 15° ≤ 2θ ≤ 90°:
hkl 1 1 3, 3.169 Å, 2θ = 28.16°, I 260
hkl 3 0 0, 2.615 Å, 2θ = 34.30°, I 378
hkl 0 2 4, 2.537 Å, 2θ = 35.37°, I 249
hkl 2 2 0, 2.264 Å, 2θ = 39.81°, I 620
hkl 0 3 3, 2.253 Å, 2θ = 40.02°, I 1000
hkl 0 0 6, 2.217 Å, 2θ = 40.70°, I 484
hkl 2 2 3, 2.017 Å, 2θ = 44.94°, I 336
hkl 6 0 0, 1.307 Å, 2θ = 72.27°, I 238

Entry 9:
Diffraction record for NdZr. The X-ray powder pattern is computed, not measured: it uses a PBE-relaxed structure and copper Kα.
Neutral-atom scattering factors, no anomalous dispersion.

Structural model:
a b c (Å): 3.4111 3.4111 5.6145
angles (deg): 90.00 90.00 120.00
Space group P-6m2 (No. 187)
Inequivalent atoms, fractional coordinates:
1 Nd 0.0000 0.0000 0.0000
2 Zr 0.6667 0.3333 0.5000

Largest 8 diffraction maxima, sorted by position, 15° ≤ 2θ ≤ 90°:
hkl 1 0 0, 2.954 Å, 2θ = 30.25°, I 261
hkl 0 0 2, 2.807 Å, 2θ = 31.88°, I 267
hkl 1 0 1, 2.614 Å, 2θ = 34.30°, I 1000
hkl 1 0 2, 2.035 Å, 2θ = 44.52°, I 180
hkl 1 1 0, 1.706 Å, 2θ = 53.75°, I 180
hkl 1 0 3, 1.581 Å, 2θ = 58.37°, I 213
hkl 1 1 2, 1.458 Å, 2θ = 63.86°, I 212
hkl 2 0 1, 1.428 Å, 2θ = 65.33°, I 151

Entry 10:
Diffraction record for Ne. The X-ray powder pattern is computed, not measured: it uses a PBE-relaxed structure and copper Kα.
Neutral-atom scattering factors, no anomalous dispersion.

Structural model:
a b c (Å): 4.3038 4.3038 4.3038
angles (deg): 90.00 90.00 90.00
Space group Fm-3m (No. 225)
Inequivalent atoms, fractional coordinates:
1 Ne 0.0000 0.0000 0.0000

Largest 5 diffraction maxima, sorted by position, 15° ≤ 2θ ≤ 90°:
hkl 1 1 1, 2.485 Å, 2θ = 36.15°, I 1000
hkl 2 0 0, 2.152 Å, 2θ = 41.99°, I 465
hkl 2 2 0, 1.522 Å, 2θ = 60.88°, I 243
hkl 3 1 1, 1.298 Å, 2θ = 72.90°, I 243
hkl 2 2 2, 1.242 Å, 2θ = 76.71°, I 67

Entry 11:
Diffraction record for NpNi2. The X-ray powder pattern is computed, not measured: it uses a PBE-relaxed structure and copper Kα.
Neutral-atom scattering factors, no anomalous dispersion.

Structural model:
a b c (Å): 6.9201 6.9201 6.9201
angles (deg): 90.00 90.00 90.00
Space group Fd-3m (No. 227, origin choice 2)
Inequivalent atoms, fractional coordinates:
1 Np 0.1250 0.1250 0.1250
2 Ni 0.0000 0.0000 0.5000

Largest 8 diffraction maxima, sorted by position, 15° ≤ 2θ ≤ 90°:
hkl 1 1 1, 3.995 Å, 2θ = 22.25°, I 328
hkl 2 2 0, 2.447 Å, 2θ = 36.73°, I 810
hkl 3 1 1, 2.086 Å, 2θ = 43.37°, I 1000
hkl 2 2 2, 1.998 Å, 2θ = 45.40°, I 92
hkl 4 2 2, 1.413 Å, 2θ = 66.15°, I 304
hkl 5 1 1, 1.332 Å, 2θ = 70.74°, I 311
hkl 4 4 0, 1.223 Å, 2θ = 78.13°, I 218
hkl 6 2 0, 1.094 Å, 2θ = 89.59°, I 144

Entry 12:
Diffraction record for NpSi2Ni. The X-ray powder pattern is computed, not measured: it uses a PBE-relaxed structure and copper Kα.
Neutral-atom scattering factors, no anomalous dispersion.

Structural model:
a b c (Å): 4.0035 16.1626 4.0123
angles (deg): 90.00 90.00 90.00
Space group Cmcm (No. 63)
Inequivalent atoms, fractional coordinates:
1 Np 0.0000 0.1036 0.2500
2 Si 0.0000 0.2495 0.7500
3 Si 0.0000 0.4599 0.2500
4 Ni 0.0000 0.3202 0.2500

Largest 8 diffraction maxima, sorted by position, 15° ≤ 2θ ≤ 90°:
hkl 0 4 0, 4.041 Å, 2θ = 22.00°, I 372
hkl 1 1 0, 3.886 Å, 2θ = 22.88°, I 397
hkl 0 2 1, 3.594 Å, 2θ = 24.77°, I 509
hkl 0 4 1, 2.847 Å, 2θ = 31.42°, I 292
hkl 1 1 1, 2.791 Å, 2θ = 32.06°, I 693
hkl 1 5 0, 2.515 Å, 2θ = 35.70°, I 699
hkl 1 3 1, 2.508 Å, 2θ = 35.80°, I 1000
hkl 1 5 2, 1.568 Å, 2θ = 58.89°, I 333